1.
Starting from a crystal structure in Alexandria, relaxed with PBE, the powder X-ray diffraction pattern of RbBi2RuO8 was calculated for Cu Kα, 1.54184 Å.
Kinematic intensities with the Lorentz-polarization factor, no thermal factor.

The 8 most intense peaks (2θ = 10–80°), low angle first:
2θ/deg, I/Imax, (hkl)
12.11, 22, 0 0 1
15.80, 23, 0 1 0
26.30, 22, -1 1 1
28.07, 100, 1 0 1
28.48, 35, 0 1 -2
29.86, 20, 0 1 2
31.91, 51, 0 2 0
50.12, 19, 1 -1 3

Cell: 4.216 5.635 7.607 Å, 91.43 105.89 94.91°
Space group P-1 (No. 2)
Symmetry-distinct sites (fractional):
Rb  0.000  0.000  0.000 x1
Bi  0.332  0.461  0.709 x2
Ru  0.500  0.000  0.500 x1
O  0.169  0.506  0.996 x2
O  0.198  0.175  0.361 x2
O  0.225  0.668  0.428 x2
O  0.359  0.077  0.719 x2

***

2.
Starting from a crystal structure in Alexandria, relaxed with PBE, the powder X-ray diffraction pattern of TbSm4Sc was calculated for Cu Kα, 1.54184 Å.
Kinematic intensities with the Lorentz-polarization factor, no thermal factor.

The 8 most intense peaks (2θ = 10–80°), low angle first:
2θ/deg, I/Imax, (hkl)
30.81, 100, 3 1 0
35.69, 34, 4 0 -2
35.78, 17, 0 2 0
51.44, 30, 4 2 -2
60.97, 7, 1 1 4
61.10, 14, 5 1 -4
61.22, 21, 3 3 0
64.07, 6, 2 2 -4

Cell: 11.224 5.019 7.130 Å, 90.00 108.40 90.00°
Space group C2/m (No. 12)
Symmetry-distinct sites (fractional):
Tb  0.000  0.000  0.000 x2
Sm  0.163  0.500  0.829 x4
Sm  0.167  0.500  0.336 x4
Sc  0.000  0.000  0.500 x2

***

3.
Starting from a crystal structure in Alexandria, relaxed with PBE, the powder X-ray diffraction pattern of CsNa2Cd was calculated for Cu Kα, 1.54184 Å.
Kinematic intensities with the Lorentz-polarization factor, no thermal factor.

The 8 most intense peaks (2θ = 10–80°), low angle first:
2θ/deg, I/Imax, (hkl)
13.15, 37, 0 1 1
15.00, 69, 1 0 -2
24.00, 77, 1 1 1
25.93, 100, 2 1 -1
26.34, 47, 2 1 -3
26.47, 46, 0 2 2
29.01, 40, 1 2 -3
29.13, 76, 1 3 -1

Cell: 7.910 9.975 11.936 Å, 90.00 130.12 90.00°
Space group P2_1/c (No. 14)
Symmetry-distinct sites (fractional):
Cs  0.125  0.024  0.254 x4
Na  0.136  0.666  0.073 x4
Na  0.409  0.141  0.752 x4
Cd  0.482  0.138  0.060 x4

***

4.
Starting from a crystal structure in Alexandria, relaxed with PBE, the powder X-ray diffraction pattern of Li4ErSi4 was calculated for Cu Kα, 1.54184 Å.
Kinematic intensities with the Lorentz-polarization factor, no thermal factor.

The 8 most intense peaks (2θ = 10–80°), low angle first:
2θ/deg, I/Imax, (hkl)
18.29, 100, 1 0 1
21.27, 27, 1 1 0
30.00, 54, 1 1 2
30.26, 21, 2 0 0
35.14, 34, 1 0 3
35.59, 64, 2 1 1
37.07, 20, 2 0 2
48.57, 21, 2 2 2

Cell: 5.908 5.908 8.497 Å, 90.00 90.00 90.00°
Space group P4_2/nmc (No. 137, origin choice 2)
Symmetry-distinct sites (fractional):
Li  0.007  0.250  0.163 x8
Er  0.250  0.750  0.250 x2
Si  0.049  0.250  0.464 x8